Structure and theoretical powder X-ray diffraction pattern of Co2CuOs (a cell relaxed with PBE; Cu Kα (λ = 1.5418 Å)).
Kinematic intensities with the Lorentz-polarization factor, no thermal factor.

The 12 most intense peaks (2θ = 5–70°), low angle first:
12.30 deg, 7.196 Å, intensity 476
24.74 deg, 3.598 Å, intensity 104
34.51 deg, 2.599 Å, intensity 88
36.76 deg, 2.445 Å, intensity 196
37.49 deg, 2.399 Å, intensity 63
42.93 deg, 2.107 Å, intensity 1000
49.60 deg, 1.838 Å, intensity 330
50.75 deg, 1.799 Å, intensity 144
51.31 deg, 1.781 Å, intensity 61
51.87 deg, 1.763 Å, intensity 51
56.20 deg, 1.637 Å, intensity 48
63.80 deg, 1.459 Å, intensity 56

Crystal structure
```
data_Co2CuOs
_chemical_formula_sum 'Co2 Cu1 Os1'
_cell_length_a 2.599
_cell_length_b 2.599
_cell_length_c 7.196
_cell_angle_alpha 90.00
_cell_angle_beta 90.00
_cell_angle_gamma 90.00
_space_group_name_H-M_alt 'P 4 m m'
_space_group_IT_number 99
_space_group_name_Hall 'P 4 -2'
loop_
_atom_site_label
_atom_site_fract_x
_atom_site_fract_y
_atom_site_fract_z
_atom_site_occupancy
Co1 0.000 0.000 0.000 1
Co2 0.500 0.500 0.233 1
Cu1 0.000 0.000 0.481 1
Os1 0.500 0.500 0.755 1
```